Diffraction record for Ac2GeP3Pt4. The powder X-ray diffraction pattern is theoretical, not measured: it uses a DFT-relaxed cell (PBE, Alexandria) and Cu Kα.
Neutral-atom scattering factors, no anomalous dispersion.

Peak list (12 most intense, 10 to 90 degrees two-theta, by angle)
2θ = 26.98°, intensity 23.0
2θ = 28.65°, intensity 14.1
2θ = 30.04°, intensity 39.8
2θ = 33.74°, intensity 67.7
2θ = 33.91°, intensity 100.0
2θ = 40.96°, intensity 65.6
2θ = 50.13°, intensity 22.0
2θ = 54.07°, intensity 36.1
2θ = 59.31°, intensity 24.5
2θ = 63.33°, intensity 17.2
2θ = 66.66°, intensity 19.0
2θ = 70.10°, intensity 25.0

Cell and atoms:
Cell lengths 4.4071, 4.4071, 9.9895 Å; angles 90.00, 90.00, 90.00 degrees
Space group P-4m2 (No. 115)
Symmetry-distinct sites (fractional):
Ac 0.0000 0.5000 0.2481 [2 per cell]
Ge 0.0000 0.0000 0.5000 [1 per cell]
P 0.0000 0.5000 0.8695 [2 per cell]
P 0.5000 0.5000 0.5000 [1 per cell]
Pt 0.0000 0.0000 0.0000 [1 per cell]
Pt 0.0000 0.5000 0.6236 [2 per cell]
Pt 0.5000 0.5000 0.0000 [1 per cell]